No. 1
For WCl4, a cell relaxed with PBE gives the calculated powder diffractogram in this record (Cu Ka).
Intensities are scaled so that the largest is 100.

Crystal structure
Unit cell a=8.116 b=8.653 c=3.563 alpha=90.00 beta=90.00 gamma=90.00
Fractional coordinates of all 10 atoms:
W  0.000  0.000  0.000
W  0.500  0.500  0.000
Cl  0.000  0.192  0.500
Cl  0.000  0.808  0.500
Cl  0.217  0.500  0.000
Cl  0.283  0.000  0.000
Cl  0.500  0.308  0.500
Cl  0.500  0.692  0.500
Cl  0.717  0.000  0.000
Cl  0.783  0.500  0.000

Top 10 peaks for 5° ≤ 2θ ≤ 70°, low angle first:
| 2θ/deg | d (Å) | I/Imax |
| --- | --- | --- |
| 14.97 | 5.920 | 100 |
| 20.53 | 4.327 | 26 |
| 21.90 | 4.058 | 20 |
| 29.26 | 3.052 | 21 |
| 32.56 | 2.750 | 40 |
| 34.74 | 2.582 | 22 |
| 41.79 | 2.161 | 29 |
| 43.27 | 2.091 | 15 |
| 53.05 | 1.726 | 16 |
| 56.36 | 1.632 | 16 |

***

No. 2
For W2Cl, a cell relaxed with PBE gives the calculated powder diffractogram in this record (Cu Ka).
Intensities are scaled so that the largest is 100.

Crystal structure
Unit cell a=5.414 b=5.414 c=5.414 alpha=60.00 beta=60.00 gamma=60.00
Fractional coordinates of all 6 atoms:
W  0.000  0.000  0.000
W  0.000  0.000  0.500
W  0.000  0.500  0.000
W  0.500  0.000  0.000
Cl  0.375  0.375  0.375
Cl  0.625  0.625  0.625

Top 9 peaks for 5° ≤ 2θ ≤ 70°, low angle first:
| 2θ/deg | d (Å) | I/Imax |
| --- | --- | --- |
| 20.09 | 4.421 | 99 |
| 33.09 | 2.707 | 2 |
| 39.01 | 2.309 | 100 |
| 40.82 | 2.210 | 91 |
| 47.50 | 1.914 | 37 |
| 52.06 | 1.757 | 26 |
| 59.11 | 1.563 | 1 |
| 63.09 | 1.474 | 32 |
| 69.44 | 1.354 | 34 |

***

No. 3
For ZnCl2, a cell relaxed with PBE gives the calculated powder diffractogram in this record (Cu Ka).
Intensities are scaled so that the largest is 100.

Crystal structure
Unit cell a=7.677 b=5.896 c=6.023 alpha=90.00 beta=90.00 gamma=90.00
Fractional coordinates of all 12 atoms:
Zn  0.250  0.129  0.000
Zn  0.250  0.629  0.500
Zn  0.750  0.371  0.500
Zn  0.750  0.871  0.000
Cl  0.000  0.000  0.174
Cl  0.000  0.500  0.674
Cl  0.250  0.005  0.639
Cl  0.250  0.505  0.139
Cl  0.500  0.000  0.174
Cl  0.500  0.500  0.674
Cl  0.750  0.495  0.139
Cl  0.750  0.995  0.639

Top 10 peaks for 5° ≤ 2θ ≤ 70°, low angle first:
| 2θ/deg | d (Å) | I/Imax |
| --- | --- | --- |
| 21.09 | 4.213 | 49 |
| 23.17 | 3.838 | 54 |
| 24.10 | 3.693 | 100 |
| 29.66 | 3.011 | 36 |
| 31.53 | 2.837 | 71 |
| 32.54 | 2.752 | 49 |
| 37.98 | 2.369 | 43 |
| 44.60 | 2.031 | 37 |
| 53.83 | 1.703 | 51 |
| 54.63 | 1.680 | 43 |

***

No. 4
For ZnCl2, a cell relaxed with PBE gives the calculated powder diffractogram in this record (Cu Ka).
Intensities are scaled so that the largest is 100.

Crystal structure
Unit cell a=5.930 b=5.930 c=8.480 alpha=90.00 beta=90.00 gamma=90.00
Fractional coordinates of all 12 atoms:
Zn  0.154  0.154  0.000
Zn  0.346  0.654  0.250
Zn  0.654  0.346  0.750
Zn  0.846  0.846  0.500
Cl  0.220  0.772  0.010
Cl  0.228  0.780  0.490
Cl  0.272  0.280  0.760
Cl  0.280  0.272  0.240
Cl  0.720  0.728  0.740
Cl  0.728  0.720  0.260
Cl  0.772  0.220  0.990
Cl  0.780  0.228  0.510

Top 10 peaks for 5° ≤ 2θ ≤ 70°, low angle first:
| 2θ/deg | d (Å) | I/Imax |
| --- | --- | --- |
| 18.25 | 4.860 | 100 |
| 23.67 | 3.759 | 25 |
| 25.83 | 3.449 | 60 |
| 30.14 | 2.965 | 66 |
| 31.98 | 2.799 | 30 |
| 35.46 | 2.531 | 20 |
| 42.65 | 2.120 | 26 |
| 50.97 | 1.792 | 33 |
| 53.11 | 1.725 | 21 |
| 53.42 | 1.715 | 28 |

***

No. 5
For ZnCl2, a cell relaxed with PBE gives the calculated powder diffractogram in this record (Cu Ka).
Intensities are scaled so that the largest is 100.

Crystal structure
Unit cell a=3.717 b=3.717 c=10.742 alpha=90.00 beta=90.00 gamma=90.00
Fractional coordinates of all 6 atoms:
Zn  0.250  0.750  0.250
Zn  0.750  0.250  0.750
Cl  0.250  0.250  0.124
Cl  0.250  0.250  0.624
Cl  0.750  0.750  0.376
Cl  0.750  0.750  0.876

Top 10 peaks for 5° ≤ 2θ ≤ 70°, low angle first:
| 2θ/deg | d (Å) | I/Imax |
| --- | --- | --- |
| 16.50 | 5.371 | 68 |
| 25.36 | 3.513 | 100 |
| 29.22 | 3.056 | 73 |
| 34.79 | 2.579 | 44 |
| 38.12 | 2.361 | 34 |
| 48.46 | 1.878 | 62 |
| 49.00 | 1.859 | 46 |
| 55.98 | 1.643 | 21 |
| 58.09 | 1.588 | 16 |
| 61.50 | 1.508 | 16 |

***

No. 6
For ZnCl4, a cell relaxed with PBE gives the calculated powder diffractogram in this record (Cu Ka).
Intensities are scaled so that the largest is 100.

Crystal structure
Unit cell a=7.955 b=7.955 c=6.420 alpha=90.00 beta=90.00 gamma=135.57
Fractional coordinates of all 10 atoms:
Zn  0.000  0.000  0.250
Zn  0.000  0.000  0.750
Cl  0.132  0.283  0.500
Cl  0.167  0.572  0.000
Cl  0.283  0.132  0.000
Cl  0.428  0.833  0.500
Cl  0.572  0.167  0.500
Cl  0.717  0.868  0.000
Cl  0.833  0.428  0.000
Cl  0.868  0.717  0.500

Top 10 peaks for 5° ≤ 2θ ≤ 70°, low angle first:
| 2θ/deg | d (Å) | I/Imax |
| --- | --- | --- |
| 12.02 | 7.364 | 42 |
| 15.92 | 5.569 | 91 |
| 23.39 | 3.803 | 88 |
| 27.25 | 3.272 | 100 |
| 30.37 | 2.943 | 27 |
| 32.18 | 2.782 | 33 |
| 41.13 | 2.195 | 27 |
| 43.00 | 2.103 | 27 |
| 44.37 | 2.042 | 41 |
| 57.37 | 1.606 | 27 |

***

No. 7
For ZnCl2, a cell relaxed with PBE gives the calculated powder diffractogram in this record (Cu Ka).
Intensities are scaled so that the largest is 100.

Crystal structure
Unit cell a=5.307 b=9.843 c=6.028 alpha=90.00 beta=90.00 gamma=90.00
Fractional coordinates of all 12 atoms:
Zn  0.000  0.000  0.250
Zn  0.000  0.000  0.750
Zn  0.500  0.500  0.250
Zn  0.500  0.500  0.750
Cl  0.233  0.124  0.000
Cl  0.233  0.876  0.500
Cl  0.267  0.376  0.500
Cl  0.267  0.624  0.000
Cl  0.733  0.376  0.000
Cl  0.733  0.624  0.500
Cl  0.767  0.124  0.500
Cl  0.767  0.876  0.000

Top 10 peaks for 5° ≤ 2θ ≤ 70°, low angle first:
| 2θ/deg | d (Å) | I/Imax |
| --- | --- | --- |
| 18.02 | 4.922 | 49 |
| 19.00 | 4.671 | 100 |
| 28.84 | 3.096 | 64 |
| 32.07 | 2.791 | 20 |
| 35.44 | 2.533 | 30 |
| 44.23 | 2.048 | 21 |
| 45.55 | 1.992 | 32 |
| 47.71 | 1.906 | 28 |
| 49.37 | 1.846 | 19 |
| 50.59 | 1.804 | 23 |

***

No. 8
For ZrCl3, a cell relaxed with PBE gives the calculated powder diffractogram in this record (Cu Ka).
Intensities are scaled so that the largest is 100.

Crystal structure
Unit cell a=6.064 b=11.611 c=6.584 alpha=90.00 beta=90.00 gamma=90.00
Fractional coordinates of all 16 atoms:
Zr  0.247  0.000  0.000
Zr  0.247  0.500  0.500
Zr  0.753  0.000  0.000
Zr  0.753  0.500  0.500
Cl  0.000  0.000  0.686
Cl  0.000  0.154  0.158
Cl  0.000  0.346  0.658
Cl  0.000  0.500  0.186
Cl  0.000  0.654  0.658
Cl  0.000  0.846  0.158
Cl  0.500  0.000  0.312
Cl  0.500  0.153  0.843
Cl  0.500  0.347  0.343
Cl  0.500  0.500  0.812
Cl  0.500  0.653  0.343
Cl  0.500  0.847  0.843

Top 10 peaks for 5° ≤ 2θ ≤ 70°, low angle first:
| 2θ/deg | d (Å) | I/Imax |
| --- | --- | --- |
| 15.26 | 5.806 | 54 |
| 15.47 | 5.727 | 100 |
| 30.58 | 2.923 | 30 |
| 30.91 | 2.893 | 15 |
| 31.23 | 2.864 | 10 |
| 33.44 | 2.680 | 20 |
| 40.19 | 2.244 | 34 |
| 40.45 | 2.230 | 17 |
| 43.47 | 2.082 | 15 |
| 47.63 | 1.909 | 18 |